Record 1
Starting from DFT lattice parameters and positions (GGA-PBE), the powder X-ray diffraction pattern of MoWS4 was computed for λ = 1.5418 Å (Cu Kα).
No peak broadening, texture or thermal motion is included.

Structure:
```
data_MoWS4
_chemical_formula_sum 'Mo2 W2 S8'
_space_group_name_H-M_alt 'P -3 m 1'
_space_group_IT_number 164
_space_group_name_Hall '-P 3 2"'
_cell_length_a 3.1897
_cell_length_b 3.1897
_cell_length_c 35.7923
_cell_angle_alpha 90.00
_cell_angle_beta 90.00
_cell_angle_gamma 120.00
loop_
_atom_site_label
_atom_site_type_symbol
_atom_site_fract_x
_atom_site_fract_y
_atom_site_fract_z
Mo1 Mo 0.3333 0.6667 0.0939
W1 W 0.3333 0.6667 0.7182
S1 S 0.3333 0.6667 0.2379
S2 S 0.3333 0.6667 0.3258
S3 S 0.3333 0.6667 0.8623
S4 S 0.3333 0.6667 0.9498
```

Peak list (10 most intense, 5 to 70 degrees two-theta, sorted by position)
7.41 deg, I 38
12.36 deg, I 100
14.85 deg, I 20
32.44 deg, I 24
33.29 deg, I 17
34.81 deg, I 15
38.29 deg, I 49
46.57 deg, I 28
57.82 deg, I 13
59.38 deg, I 15

=====

Record 2
Starting from DFT lattice parameters and positions (GGA-PBE), the powder X-ray diffraction pattern of SiO2 was computed for λ = 1.5418 Å (Cu Kα).
No peak broadening, texture or thermal motion is included.

Structure:
```
data_SiO2
_chemical_formula_sum 'Si18 O36'
_space_group_name_H-M_alt 'P 42/m m c'
_space_group_IT_number 131
_space_group_name_Hall '-P 4c 2'
_cell_length_a 7.222
_cell_length_b 7.222
_cell_length_c 21.124
_cell_angle_alpha 90.00
_cell_angle_beta 90.00
_cell_angle_gamma 90.00
loop_
_atom_site_label
_atom_site_type_symbol
_atom_site_fract_x
_atom_site_fract_y
_atom_site_fract_z
Si1 Si 0.000 0.000 0.250
Si2 Si 0.000 0.207 0.128
Si3 Si 0.282 0.500 0.076
O1 O 0.000 0.000 0.096
O2 O 0.000 0.184 0.205
O3 O 0.186 0.316 0.106
O4 O 0.256 0.500 0.000
O5 O 0.500 0.500 0.095
```

Peak list (10 most intense, 5 to 70 degrees two-theta, sorted by position)
8.37 deg, I 16
12.26 deg, I 12
12.95 deg, I 100
14.86 deg, I 67
16.79 deg, I 41
17.36 deg, I 34
24.41 deg, I 7
25.30 deg, I 14
27.76 deg, I 23
27.95 deg, I 39

=====

Record 3
Starting from DFT lattice parameters and positions (GGA-PBE), the powder X-ray diffraction pattern of TiZnS3O12 was computed for λ = 1.5418 Å (Cu Kα).
No peak broadening, texture or thermal motion is included.

Structure:
```
data_TiZnS3O12
_chemical_formula_sum 'Ti6 Zn6 S18 O72'
_space_group_name_H-M_alt 'R 3 c'
_space_group_IT_number 161
_space_group_name_Hall 'R 3 -2"c'
_cell_length_a 8.6231
_cell_length_b 8.6231
_cell_length_c 22.3040
_cell_angle_alpha 90.00
_cell_angle_beta 90.00
_cell_angle_gamma 120.00
loop_
_atom_site_label
_atom_site_type_symbol
_atom_site_fract_x
_atom_site_fract_y
_atom_site_fract_z
Ti1 Ti 0.0000 0.0000 0.0000
Zn1 Zn 0.0000 0.0000 0.2108
S1 S 0.0451 0.3778 0.2742
O1 O 0.0165 0.1991 0.2643
O2 O 0.0350 0.2054 0.5533
O3 O 0.1516 0.4561 0.3278
O4 O 0.1686 0.4699 0.6159
```

Peak list (10 most intense, 5 to 70 degrees two-theta, sorted by position)
14.27 deg, I 42
19.87 deg, I 46
20.60 deg, I 17
23.86 deg, I 100
28.78 deg, I 38
31.78 deg, I 35
31.96 deg, I 11
36.08 deg, I 15
48.84 deg, I 13
52.28 deg, I 14